(1)
# Th2NpUTc6
Calculated powder diffraction line list, Cu Kα (λ = 1.5418 Å). Input: a structure optimized by DFT (PBE).
No peak broadening, texture or thermal motion is included.

a = 12.3289 Å, b = 12.3289 Å, c = 12.3289 Å
α = 30.46°, β = 30.46°, γ = 30.46°
Positions (direct):
Th 0.1312 0.1312 0.1312
Th 0.3138 0.3138 0.3138
Th 0.6862 0.6862 0.6862
Th 0.8688 0.8688 0.8688
Np 0.4314 0.4314 0.4314
Np 0.5686 0.5686 0.5686
U 0.0000 0.0000 0.0000
U 0.5000 0.5000 0.5000
Tc 0.0284 0.6453 0.6453
Tc 0.2045 0.2045 0.7489
Tc 0.2045 0.7489 0.2045
Tc 0.2511 0.7955 0.7955
Tc 0.3547 0.3547 0.9716
Tc 0.3547 0.9716 0.3547
Tc 0.6453 0.0284 0.6453
Tc 0.6453 0.6453 0.0284
Tc 0.7489 0.2045 0.2045
Tc 0.7955 0.2511 0.7955
Tc 0.7955 0.7955 0.2511
Tc 0.9716 0.3547 0.3547

The 6 most intense peaks (2θ = 5–70°), in order of falling intensity:
d 3.238, 2θ = 27.54°, I 100; d 2.782, 2θ = 32.17°, I 53; d 2.450, 2θ = 36.68°, I 48; d 1.620, 2θ = 56.85°, I 46; d 1.528, 2θ = 60.62°, I 46; d 2.606, 2θ = 34.42°, I 44


(2)
# Ce4H3Pb2
Calculated powder diffraction line list, Cu Kα (λ = 1.5418 Å). Input: a structure optimized by DFT (PBE).
No peak broadening, texture or thermal motion is included.

a = 9.9460 Å, b = 9.9447 Å, c = 4.4616 Å
α = 77.05°, β = 77.02°, γ = 25.92°
Positions (direct):
Ce 0.0000 0.0000 0.5000
Ce 0.1932 0.1932 0.8068
Ce 0.5000 0.5000 0.0000
Ce 0.8068 0.8068 0.1932
H 0.0000 0.0000 0.0000
H 0.2500 0.2500 0.2500
H 0.7500 0.7500 0.7500
Pb 0.3713 0.3713 0.6287
Pb 0.6287 0.6287 0.3713

The 6 most intense peaks (2θ = 5–70°), in order of falling intensity:
d 2.622, 2θ = 34.20°, I 100; d 2.992, 2θ = 29.86°, I 86; d 2.881, 2θ = 31.04°, I 85; d 2.231, 2θ = 40.44°, I 72; d 2.307, 2θ = 39.05°, I 41; d 1.764, 2θ = 51.84°, I 41